# 1
This entry pairs a crystal structure of SmTm3Al8 with its simulated powder diffraction line list. Radiation: Cu Kα, 1.54184 Å. Structure: a DFT-relaxed cell (GGA-PBE, Alexandria).
Peak positions follow from Bragg's law for the DFT cell and can differ from measured ones.

Structure:
```
12
Lattice="2.768 1.598 9.090 -2.768 1.598 9.090 0.000 -3.196 9.090" Properties=species:S:1:pos:R:3 pbc="T T T"
Sm 0.000 0.000 0.000
Tm 0.000 0.000 3.415
Tm 0.000 0.000 13.649
Tm 0.000 0.000 17.025
Al 0.000 -1.595 6.229
Al -1.381 0.797 6.229
Al -1.382 -0.798 10.819
Al 0.000 0.000 8.515
Al 1.381 0.797 6.229
Al 1.382 -0.798 10.819
Al 0.000 1.596 10.819
Al 0.000 0.000 22.165
```

The 10 most intense peaks (2θ from 10° to 80°), by angle:
| 2θ (°) | I (rel.) |
| --- | --- |
| 19.60 | 892 |
| 32.22 | 692 |
| 32.34 | 686 |
| 37.96 | 348 |
| 38.08 | 1000 |
| 57.38 | 135 |
| 57.63 | 400 |
| 61.47 | 333 |
| 67.42 | 145 |
| 67.70 | 144 |

---

# 2
This entry pairs a crystal structure of YbH9C5N2O8 with its simulated powder diffraction line list. Radiation: Cu Kα, 1.54184 Å. Structure: a DFT-relaxed cell (GGA-PBE, Alexandria).
Peak positions follow from Bragg's law for the DFT cell and can differ from measured ones.

Structure:
```
25
Lattice="5.743 -3.658 0.000 5.743 3.658 0.000 -2.315 0.000 6.239" Properties=species:S:1:pos:R:3 pbc="T T T"
Yb 0.000 0.000 0.000
H 4.586 3.092 3.119
H 2.323 0.543 2.539
H 3.716 0.365 5.166
H 5.455 0.365 1.072
H 3.279 -1.269 0.804
H 3.114 -0.826 3.371
H 6.848 0.543 3.700
H 6.057 -0.826 2.868
H 5.892 -1.269 5.435
C 3.112 0.892 4.407
C 6.059 0.892 1.831
C 0.757 -1.604 6.004
C 4.586 -3.119 3.119
C 8.414 -1.604 0.235
N 2.806 0.149 3.358
N 6.366 0.149 2.880
O 1.796 1.300 0.778
O 3.735 2.437 0.790
O 2.771 2.090 4.571
O 5.437 2.437 5.449
O 6.400 2.090 1.668
O 7.375 1.300 5.461
O 4.122 -2.533 4.149
O 5.049 -2.533 2.090
```

The 10 most intense peaks (2θ from 10° to 80°), by angle:
| 2θ (°) | I (rel.) |
| --- | --- |
| 14.20 | 441 |
| 14.64 | 1000 |
| 16.46 | 315 |
| 17.62 | 231 |
| 18.32 | 519 |
| 22.38 | 395 |
| 27.68 | 285 |
| 29.53 | 438 |
| 30.21 | 191 |
| 35.41 | 199 |